Simulated powder diffractogram
Compound: Sr2TbRuO6
Radiation: copper Kα
Structure: a structure optimized by DFT (PBE)

Cell and atoms:
```
Sr2TbRuO6
1.0
5.8229 0.0000 0.0000
0.0000 5.8971 0.0000
-5.7618 0.0000 8.2668
Sr Tb Ru O
4 2 2 12
Direct
0.2403 0.0383 0.2494
0.2403 0.4617 0.7494
0.7597 0.5383 0.2506
0.7597 0.9617 0.7506
0.5000 0.0000 0.0000
0.5000 0.5000 0.5000
0.0000 0.0000 0.5000
0.0000 0.5000 0.0000
0.1522 0.2280 0.9575
0.1522 0.2720 0.4575
0.2310 0.6978 0.9603
0.2310 0.8022 0.4603
0.3104 0.0213 0.7332
0.3104 0.4787 0.2332
0.6896 0.5213 0.7668
0.6896 0.9787 0.2668
0.7690 0.1978 0.5397
0.7690 0.3022 0.0397
0.8478 0.7280 0.5425
0.8478 0.7720 0.0425
```

Main lines, in order of rising 2θ (10 to 80 degrees two-theta):
- 2θ = 21.5°, I = 21
- 2θ = 30.3°, I = 33
- 2θ = 30.5°, I = 68
- 2θ = 30.7°, I = 100
- 2θ = 43.7°, I = 36
- 2θ = 43.8°, I = 19
- 2θ = 54.1°, I = 12
- 2θ = 54.2°, I = 23
- 2θ = 54.3°, I = 15
- 2θ = 54.7°, I = 22



Simulated powder diffractogram
Compound: Sr2TaInO6
Radiation: copper Kα
Structure: a structure optimized by DFT (PBE)

Cell and atoms:
```
Sr2TaInO6
1.0
5.0120 -2.9045 0.0000
5.0120 2.9045 0.0000
-3.3891 0.0000 4.7535
Sr Ta In O
2 1 1 6
Direct
0.2488 0.2488 0.2581
0.7512 0.7512 0.7419
0.0000 0.0000 0.5000
0.5000 0.5000 0.0000
0.1968 0.7160 0.6945
0.2385 0.2385 0.8186
0.2840 0.8032 0.3055
0.7160 0.1968 0.6945
0.7615 0.7615 0.1814
0.8032 0.2840 0.3055
```

Main lines, in order of rising 2θ (10 to 80 degrees two-theta):
- 2θ = 21.6°, I = 11
- 2θ = 30.6°, I = 19
- 2θ = 30.8°, I = 100
- 2θ = 44.0°, I = 23
- 2θ = 44.4°, I = 11
- 2θ = 54.6°, I = 18
- 2θ = 54.8°, I = 21
- 2θ = 55.0°, I = 13
- 2θ = 64.2°, I = 10
- 2θ = 72.7°, I = 11



Simulated powder diffractogram
Compound: Hg2SbF6
Radiation: copper Kα
Structure: a structure optimized by DFT (PBE)

Cell and atoms:
```
Hg2SbF6
1.0
5.3397 -5.3487 0.0000
5.3397 5.3487 0.0000
-5.1451 0.0000 6.1288
Hg Sb F
4 2 12
Direct
0.0000 0.0000 0.0000
0.0000 0.0000 0.5000
0.0000 0.5000 0.0000
0.5000 0.0000 0.5000
0.3747 0.6253 0.7500
0.6253 0.3747 0.2500
0.1949 0.8051 0.7500
0.1957 0.4464 0.7526
0.2188 0.4706 0.4370
0.4454 0.5546 0.2500
0.4464 0.1957 0.2526
0.4706 0.2188 0.9370
0.5294 0.7812 0.0630
0.5536 0.8043 0.7474
0.5546 0.4454 0.7500
0.7812 0.5294 0.5630
0.8043 0.5536 0.2474
0.8051 0.1949 0.2500
```

Main lines, in order of rising 2θ (10 to 80 degrees two-theta):
- 2θ = 24.5°, I = 44
- 2θ = 25.0°, I = 41
- 2θ = 27.2°, I = 70
- 2θ = 27.4°, I = 100
- 2θ = 27.6°, I = 33
- 2θ = 28.0°, I = 63
- 2θ = 38.3°, I = 17
- 2θ = 43.8°, I = 27
- 2θ = 45.0°, I = 32
- 2θ = 48.2°, I = 29



Simulated powder diffractogram
Compound: MgTi2Si2O8
Radiation: copper Kα
Structure: a structure optimized by DFT (PBE)

Cell and atoms:
```
MgTi2Si2O8
1.0
7.0262 0.0000 0.0000
0.0000 2.7672 4.4206
0.0000 -2.7672 4.4206
Mg Ti Si O
1 2 2 8
Direct
0.0000 0.0000 0.0000
0.3193 0.8674 0.8674
0.6807 0.8674 0.8674
0.0000 0.2633 0.2633
0.5000 0.5486 0.5486
0.0000 0.1139 0.6111
0.0000 0.6111 0.1139
0.1910 0.1484 0.1484
0.3146 0.6600 0.6600
0.5000 0.1918 0.6785
0.5000 0.6785 0.1918
0.6854 0.6600 0.6600
0.8090 0.1484 0.1484
```

Main lines, in order of rising 2θ (10 to 80 degrees two-theta):
- 2θ = 18.9°, I = 50
- 2θ = 20.1°, I = 22
- 2θ = 22.8°, I = 100
- 2θ = 31.8°, I = 29
- 2θ = 32.4°, I = 32
- 2θ = 34.5°, I = 22
- 2θ = 43.2°, I = 22
- 2θ = 43.7°, I = 16
- 2θ = 59.7°, I = 23
- 2θ = 68.6°, I = 13



Simulated powder diffractogram
Compound: Eu3Pd2
Radiation: copper Kα
Structure: a structure optimized by DFT (PBE)

Cell and atoms:
```
Eu3Pd2
1.0
4.6467 2.6828 5.8185
-4.6467 2.6828 5.8185
0.0000 -5.3655 5.8185
Eu Pd
9 6
Direct
0.0000 0.0000 0.0000
0.1614 0.3894 0.6684
0.2051 0.2051 0.2051
0.3316 0.8386 0.6106
0.3894 0.6684 0.1614
0.6106 0.3316 0.8386
0.6684 0.1614 0.3894
0.7949 0.7949 0.7949
0.8386 0.6106 0.3316
0.0406 0.8499 0.4096
0.1501 0.5904 0.9594
0.4096 0.0406 0.8499
0.5904 0.9594 0.1501
0.8499 0.4096 0.0406
0.9594 0.1501 0.5904
```

Main lines, in order of rising 2θ (10 to 80 degrees two-theta):
- 2θ = 27.9°, I = 34
- 2θ = 29.8°, I = 64
- 2θ = 30.2°, I = 26
- 2θ = 30.7°, I = 34
- 2θ = 31.1°, I = 100
- 2θ = 33.4°, I = 67
- 2θ = 36.0°, I = 69
- 2θ = 36.4°, I = 67
- 2θ = 48.4°, I = 27
- 2θ = 50.5°, I = 20



Simulated powder diffractogram
Compound: CrGaFe2
Radiation: copper Kα
Structure: a structure optimized by DFT (PBE)

Cell and atoms:
```
CrGaFe2
1.0
1.4999 -2.0605 0.0000
1.4999 2.0605 0.0000
0.0000 0.0000 7.9987
Cr Ga Fe
1 1 2
Direct
0.0000 0.0000 0.0000
0.5000 0.5000 0.2596
0.0000 0.0000 0.5139
0.5000 0.5000 0.7578
```

Main lines, in order of rising 2θ (10 to 80 degrees two-theta):
- 2θ = 11.1°, I = 1
- 2θ = 22.2°, I = 1
- 2θ = 38.8°, I = 1
- 2θ = 43.6°, I = 100
- 2θ = 43.9°, I = 25
- 2θ = 45.4°, I = 22
- 2θ = 61.9°, I = 8
- 2θ = 65.0°, I = 14
- 2θ = 78.9°, I = 8
- 2θ = 80.0°, I = 7



Simulated powder diffractogram
Compound: Mg14ZrMn
Radiation: copper Kα
Structure: a structure optimized by DFT (PBE)

Cell and atoms:
```
Mg14ZrMn
1.0
10.1368 0.0000 0.0000
0.0000 3.1396 5.5586
0.0000 -3.1396 5.5586
Mg Zr Mn
14 1 1
Direct
0.0000 0.0000 0.0000
0.0000 0.0019 0.4988
0.0000 0.4988 0.0019
0.0000 0.4993 0.4993
0.2489 0.6647 0.6647
0.2566 0.1667 0.6698
0.2566 0.6698 0.1667
0.2612 0.1615 0.1615
0.5000 0.5090 0.9970
0.5000 0.9970 0.5090
0.7388 0.1615 0.1615
0.7434 0.1667 0.6698
0.7434 0.6698 0.1667
0.7511 0.6647 0.6647
0.5000 0.5048 0.5048
0.5000 0.9929 0.9929
```

Main lines, in order of rising 2θ (10 to 80 degrees two-theta):
- 2θ = 18.2°, I = 16
- 2θ = 32.8°, I = 28
- 2θ = 35.4°, I = 39
- 2θ = 36.9°, I = 53
- 2θ = 37.4°, I = 100
- 2θ = 49.0°, I = 17
- 2θ = 57.8°, I = 18
- 2θ = 64.9°, I = 18
- 2θ = 69.6°, I = 19
- 2θ = 71.5°, I = 14



Simulated powder diffractogram
Compound: PrAl22O34
Radiation: copper Kα
Structure: a structure optimized by DFT (PBE)

Cell and atoms:
```
PrAl22O34
1.0
9.7833 0.0000 0.0000
0.0000 5.6551 0.0000
-3.2563 0.0000 11.4182
Pr Al O
1 22 34
Direct
0.0000 0.0000 0.0000
0.1545 0.2505 0.2710
0.1545 0.7495 0.2710
0.1571 0.0000 0.5318
0.2110 0.5000 0.6949
0.2555 0.0000 0.8309
0.3083 0.5000 0.4810
0.3556 0.0000 0.1258
0.4025 0.5000 0.2625
0.4572 0.0000 0.4304
0.4623 0.2473 0.6953
0.4623 0.7527 0.6953
0.6507 0.2512 0.2646
0.6507 0.7488 0.2646
0.6573 0.5000 0.5299
0.7085 0.0000 0.6920
0.7574 0.5000 0.8295
0.8064 0.0000 0.4792
0.8555 0.5000 0.1266
0.9036 0.0000 0.2704
0.9566 0.5000 0.4307
0.9619 0.2533 0.6908
0.9619 0.7467 0.6908
0.0100 0.5000 0.5891
0.1026 0.0000 0.3692
0.1144 0.5000 0.3781
0.1514 0.2501 0.7669
0.1514 0.7499 0.7669
0.2027 0.0000 0.1870
0.2114 0.5000 0.1976
0.2594 0.0000 0.9790
0.2607 0.2647 0.5776
0.2607 0.7353 0.5776
0.3502 0.2623 0.3794
0.3502 0.7377 0.3794
0.4010 0.5000 0.7615
0.4035 0.0000 0.7709
0.4599 0.2487 0.1891
0.4599 0.7513 0.1891
0.4970 0.5000 0.5775
0.5100 0.0000 0.5905
0.6034 0.5000 0.3683
0.6173 0.0000 0.3808
0.6533 0.2475 0.7687
0.6533 0.7525 0.7687
0.7124 0.5000 0.1913
0.7141 0.0000 0.1977
0.7626 0.2334 0.5793
0.7626 0.7666 0.5793
0.8336 0.5000 0.9783
0.8547 0.2342 0.3801
0.8547 0.7658 0.3801
0.9035 0.5000 0.7657
0.9036 0.0000 0.7684
0.9621 0.2385 0.1833
0.9621 0.7615 0.1833
0.9952 0.0000 0.5795
```

Main lines, in order of rising 2θ (10 to 80 degrees two-theta):
- 2θ = 10.4°, I = 51
- 2θ = 15.5°, I = 41
- 2θ = 20.9°, I = 45
- 2θ = 31.7°, I = 64
- 2θ = 31.9°, I = 48
- 2θ = 34.1°, I = 76
- 2θ = 35.4°, I = 100
- 2θ = 38.2°, I = 48
- 2θ = 45.6°, I = 84
- 2θ = 66.1°, I = 79



Simulated powder diffractogram
Compound: CdC4N6
Radiation: copper Kα
Structure: a structure optimized by DFT (PBE)

Cell and atoms:
```
CdC4N6
1.0
6.6197 0.0000 0.0000
0.0000 7.7098 0.0000
0.0000 0.0000 7.7746
Cd C N
2 8 12
Direct
0.0000 0.0000 0.0000
0.5000 0.5000 0.5000
0.2487 0.1516 0.3532
0.2487 0.1516 0.6468
0.2513 0.6516 0.1468
0.2513 0.6516 0.8532
0.7487 0.3484 0.1468
0.7487 0.3484 0.8532
0.7513 0.8484 0.3532
0.7513 0.8484 0.6468
0.1915 0.7158 0.0000
0.2054 0.1030 0.2149
0.2054 0.1030 0.7851
0.2946 0.6030 0.2851
0.2946 0.6030 0.7149
0.3085 0.2158 0.5000
0.6915 0.7842 0.5000
0.7054 0.3970 0.2851
0.7054 0.3970 0.7149
0.7946 0.8970 0.2149
0.7946 0.8970 0.7851
0.8085 0.2842 0.0000
```

Main lines, in order of rising 2θ (10 to 80 degrees two-theta):
- 2θ = 16.2°, I = 37
- 2θ = 17.6°, I = 100
- 2θ = 26.8°, I = 14
- 2θ = 29.0°, I = 18
- 2θ = 29.2°, I = 20
- 2θ = 31.6°, I = 23
- 2θ = 35.6°, I = 11
- 2θ = 36.8°, I = 11
- 2θ = 42.9°, I = 12
- 2θ = 48.9°, I = 16



Simulated powder diffractogram
Compound: Sc
Radiation: copper Kα
Structure: a structure optimized by DFT (PBE)

Cell and atoms:
```
Sc
1.0
-1.8387 1.8387 1.8387
1.8387 -1.8387 1.8387
1.8387 1.8387 -1.8387
Sc
1
Direct
0.0000 0.0000 0.0000
```

Main lines, in order of rising 2θ (10 to 80 degrees two-theta):
- 2θ = 34.5°, I = 100
- 2θ = 49.6°, I = 16
- 2θ = 61.8°, I = 31
- 2θ = 72.7°, I = 9



Simulated powder diffractogram
Compound: Cs2NaNdF6
Radiation: copper Kα
Structure: a structure optimized by DFT (PBE)

Cell and atoms:
```
Cs2NaNdF6
1.0
0.0000 4.6552 4.6552
4.6552 0.0000 4.6552
4.6552 4.6552 0.0000
Cs Na Nd F
2 1 1 6
Direct
0.2500 0.2500 0.2500
0.7500 0.7500 0.7500
0.0000 0.0000 0.0000
0.5000 0.5000 0.5000
0.2542 0.2542 0.7458
0.2542 0.7458 0.2542
0.2542 0.7458 0.7458
0.7458 0.2542 0.2542
0.7458 0.2542 0.7458
0.7458 0.7458 0.2542
```

Main lines, in order of rising 2θ (10 to 80 degrees two-theta):
- 2θ = 16.5°, I = 22
- 2θ = 27.1°, I = 100
- 2θ = 31.9°, I = 12
- 2θ = 33.3°, I = 11
- 2θ = 38.7°, I = 38
- 2θ = 47.9°, I = 42
- 2θ = 55.9°, I = 24
- 2θ = 63.2°, I = 19
- 2θ = 70.0°, I = 8
- 2θ = 76.6°, I = 22



Simulated powder diffractogram
Compound: Sr2TbNbO6
Radiation: copper Kα
Structure: a structure optimized by DFT (PBE)

Cell and atoms:
```
Sr2TbNbO6
1.0
0.0000 4.2328 4.2328
4.2328 0.0000 4.2328
4.2328 4.2328 0.0000
Sr Tb Nb O
2 1 1 6
Direct
0.2500 0.2500 0.2500
0.7500 0.7500 0.7500
0.0000 0.0000 0.0000
0.5000 0.5000 0.5000
0.2627 0.2627 0.7373
0.2627 0.7373 0.2627
0.2627 0.7373 0.7373
0.7373 0.2627 0.2627
0.7373 0.2627 0.7373
0.7373 0.7373 0.2627
```

Main lines, in order of rising 2θ (10 to 80 degrees two-theta):
- 2θ = 18.2°, I = 4
- 2θ = 21.0°, I = 10
- 2θ = 29.9°, I = 100
- 2θ = 35.2°, I = 3
- 2θ = 42.7°, I = 32
- 2θ = 48.1°, I = 4
- 2θ = 53.0°, I = 40
- 2θ = 62.0°, I = 20
- 2θ = 70.3°, I = 18
- 2θ = 78.2°, I = 7